Diffraction record for Li3ErBr6. The powder XRD pattern is calculated, not measured: it uses the GGA-PBE geometry in the Materials Project and Cu Kα (λ = 1.5418 Å).
Intensities are scaled so that the largest is 100.

Largest 12 diffraction maxima, sorted by position, 10 to 80 degrees two-theta:
- 13.54 deg, I = 35
- 14.77 deg, I = 16
- 15.39 deg, I = 36
- 17.27 deg, I = 23
- 20.09 deg, I = 18
- 27.15 deg, I = 24
- 27.27 deg, I = 48
- 31.50 deg, I = 50
- 31.60 deg, I = 100
- 45.17 deg, I = 54
- 45.31 deg, I = 53
- 56.27 deg, I = 27

```
Li3ErBr6
1.0
3.484 -5.999 0.000
3.484 5.999 0.000
-2.325 0.000 6.538
Li Er Br
3 1 6
Direct
0.000 0.000 0.000
0.338 0.662 0.000
0.827 0.173 0.500
0.668 0.332 0.000
0.070 0.398 0.247
0.251 0.251 0.767
0.424 0.072 0.239
0.602 0.930 0.753
0.749 0.749 0.233
0.928 0.576 0.761
```